Diffraction record for DyHoEr5Th2. The powder diffraction line list is simulated, not measured: it uses a DFT-relaxed cell (GGA-PBE, Alexandria) and CuKα.
Peak positions follow from Bragg's law for the DFT cell and can differ from measured ones.

Structure:
```
DyHoEr5Th2
1.0
-4.346 4.346 7.697
4.346 -4.346 7.697
4.346 4.346 -7.697
Dy Ho Er Th
2 2 10 4
direct
0.250 0.750 0.500 Dy
0.750 0.250 0.500 Dy
0.250 0.250 0.000 Ho
0.750 0.750 0.000 Ho
0.000 0.000 0.000 Er
0.070 0.570 0.921 Er
0.149 0.070 0.500 Er
0.351 0.851 0.921 Er
0.430 0.351 0.500 Er
0.500 0.500 0.000 Er
0.570 0.649 0.500 Er
0.649 0.149 0.079 Er
0.851 0.930 0.500 Er
0.930 0.430 0.079 Er
0.120 0.380 0.500 Th
0.380 0.880 0.261 Th
0.620 0.120 0.739 Th
0.880 0.620 0.500 Th
```

Most intense lines, 2θ from 10° to 90°, in order of falling intensity:
d (Å)	2theta	I (rel.)
2.881	31.04	100
3.099	28.81	70
3.073	29.06	53
2.090	43.29	27
2.382	37.77	26
1.735	52.76	23
2.749	32.58	18
2.414	37.25	17